Computed powder X-ray diffraction pattern of Ac4SnGe2 for Cu Ka, from a cell relaxed with PBE.
Intensities are scaled so that the largest is 100.

Largest 10 diffraction maxima, by angle, 15 to 90 degrees two-theta:
2theta  intensity
21.91  26.0
25.37  32.4
28.35  100.0
28.53  54.1
33.72  76.0
33.83  20.2
44.63  19.3
46.51  24.0
46.67  35.1
57.06  25.2

Structural model:
a b c (Å): 8.604 8.604 8.604
angles (deg): 109.28 109.28 109.86
Atoms (fractional coordinates):
Ac 0.000 0.385 0.256
Ac 0.130 0.744 0.744
Ac 0.135 0.250 0.756
Ac 0.256 0.000 0.385
Ac 0.494 0.380 0.244
Ac 0.615 0.870 0.615
Ac 0.620 0.865 0.115
Ac 0.750 0.506 0.885
Sn 0.000 0.000 0.000
Sn 0.750 0.250 0.500
Ge 0.250 0.625 0.125
Ge 0.375 0.500 0.625
Ge 0.500 0.125 0.875
Ge 0.875 0.750 0.375